Record 1
This entry pairs a crystal structure of Bi6P2O15 with its simulated powder XRD pattern. Radiation: CuKα. Structure: a structure optimized by DFT (PBE).

Peak list (6 most intense, 5 to 70 degrees two-theta, in order of rising 2θ)
- d 10.377, 2θ 8.5, I 17
- d 5.110, 2θ 17.4, I 17
- d 3.208, 2θ 27.8, I 100
- d 3.054, 2θ 29.2, I 15
- d 2.980, 2θ 30.0, I 25
- d 2.935, 2θ 30.5, I 18

Crystal structure
```
data_Bi6P2O15
_space_group_name_H-M_alt 'P 1'
_space_group_IT_number 1
_cell_length_a 11.5775
_cell_length_b 11.5775
_cell_length_c 5.8710
_cell_angle_alpha 90.00
_cell_angle_beta 90.00
_cell_angle_gamma 116.32
loop_
_space_group_symop_operation_xyz
'x,y,z'
loop_
_atom_site_label
_atom_site_fract_x
_atom_site_fract_y
_atom_site_fract_z
Bi1 0.0478 0.1783 0.5941
Bi2 0.1069 0.6930 0.0000
Bi3 0.1783 0.0478 0.0941
Bi4 0.2580 0.4067 0.9971
Bi5 0.3070 0.8931 0.5000
Bi6 0.4067 0.2580 0.4971
Bi7 0.5933 0.7420 0.4971
Bi8 0.6930 0.1069 0.5000
Bi9 0.7420 0.5933 0.9971
Bi10 0.8217 0.9522 0.0941
Bi11 0.8931 0.3070 0.0000
Bi12 0.9522 0.8217 0.5941
P1 0.2182 0.5403 0.4763
P2 0.4597 0.7818 0.9763
P3 0.5403 0.2182 0.9763
P4 0.7818 0.4597 0.4763
O1 0.0000 0.0000 0.2845
O2 0.0000 0.0000 0.7845
O3 0.0627 0.2584 0.9505
O4 0.1325 0.4376 0.2944
O5 0.1448 0.8316 0.7207
O6 0.1546 0.4986 0.7149
O7 0.1684 0.8552 0.2207
O8 0.2219 0.6705 0.4000
O9 0.2584 0.0627 0.4505
O10 0.2638 0.2722 0.7269
O11 0.2722 0.2638 0.2269
O12 0.3295 0.7781 0.9000
O13 0.3533 0.5425 0.4728
O14 0.4376 0.1325 0.7944
O15 0.4575 0.6467 0.9728
O16 0.4986 0.1546 0.2149
O17 0.5014 0.8454 0.2149
O18 0.5425 0.3533 0.9728
O19 0.5624 0.8675 0.7944
O20 0.6467 0.4575 0.4728
O21 0.6705 0.2219 0.9000
O22 0.7278 0.7362 0.2269
O23 0.7362 0.7278 0.7269
O24 0.7416 0.9373 0.4505
O25 0.7781 0.3295 0.4000
O26 0.8316 0.1448 0.2207
O27 0.8454 0.5014 0.7149
O28 0.8552 0.1684 0.7207
O29 0.8675 0.5624 0.2944
O30 0.9373 0.7416 0.9505
```



Record 2
This entry pairs a crystal structure of BiP2O7 with its simulated powder XRD pattern. Radiation: CuKα. Structure: a structure optimized by DFT (PBE).

Peak list (6 most intense, 5 to 70 degrees two-theta, in order of rising 2θ)
- d 6.769, 2θ 13.1, I 81
- d 5.443, 2θ 16.3, I 100
- d 4.474, 2θ 19.8, I 55
- d 3.293, 2θ 27.1, I 51
- d 3.032, 2θ 29.5, I 75
- d 2.874, 2θ 31.1, I 41

Crystal structure
```
data_BiP2O7
_space_group_name_H-M_alt 'P 1'
_space_group_IT_number 1
_cell_length_a 6.5434
_cell_length_b 6.7780
_cell_length_c 6.9309
_cell_angle_alpha 90.99
_cell_angle_beta 108.07
_cell_angle_gamma 92.27
loop_
_space_group_symop_operation_xyz
'x,y,z'
loop_
_atom_site_label
_atom_site_fract_x
_atom_site_fract_y
_atom_site_fract_z
Bi1 0.1850 0.3493 0.2202
Bi2 0.8150 0.6507 0.7798
P1 0.2898 0.8462 0.1540
P2 0.3251 0.3891 0.7456
P3 0.6749 0.6109 0.2544
P4 0.7102 0.1538 0.8460
O1 0.1335 0.8525 0.9376
O2 0.1802 0.3013 0.5393
O3 0.1877 0.4365 0.8838
O4 0.2244 0.6965 0.2892
O5 0.3399 0.0521 0.2568
O6 0.4578 0.5714 0.7188
O7 0.4788 0.2198 0.8630
O8 0.5212 0.7802 0.1370
O9 0.5422 0.4286 0.2812
O10 0.6601 0.9479 0.7432
O11 0.7756 0.3035 0.7108
O12 0.8123 0.5635 0.1162
O13 0.8198 0.6987 0.4607
O14 0.8665 0.1475 0.0624
```



Record 3
This entry pairs a crystal structure of BiP3O9 with its simulated powder XRD pattern. Radiation: CuKα. Structure: a structure optimized by DFT (PBE).

Peak list (6 most intense, 5 to 70 degrees two-theta, in order of rising 2θ)
- d 6.280, 2θ 14.1, I 56
- d 5.058, 2θ 17.5, I 45
- d 4.943, 2θ 17.9, I 50
- d 3.634, 2θ 24.5, I 100
- d 3.413, 2θ 26.1, I 50
- d 3.109, 2θ 28.7, I 73

Crystal structure
```
data_BiP3O9
_space_group_name_H-M_alt 'P 1'
_space_group_IT_number 1
_cell_length_a 7.2780
_cell_length_b 7.0430
_cell_length_c 13.8973
_cell_angle_alpha 90.00
_cell_angle_beta 93.10
_cell_angle_gamma 90.00
loop_
_space_group_symop_operation_xyz
'x,y,z'
loop_
_atom_site_label
_atom_site_fract_x
_atom_site_fract_y
_atom_site_fract_z
Bi1 0.2405 0.1367 0.0695
Bi2 0.2405 0.3633 0.5695
Bi3 0.7595 0.6367 0.4305
Bi4 0.7595 0.8633 0.9305
P1 0.2369 0.6847 0.3646
P2 0.2369 0.8153 0.8646
P3 0.2941 0.1013 0.3262
P4 0.2941 0.3987 0.8262
P5 0.2940 0.6084 0.1579
P6 0.2940 0.8916 0.6579
P7 0.7060 0.1084 0.3421
P8 0.7060 0.3916 0.8421
P9 0.7059 0.6013 0.1738
P10 0.7059 0.8987 0.6738
P11 0.7631 0.1847 0.1354
P12 0.7631 0.3153 0.6354
O1 0.0881 0.6094 0.4270
O2 0.0881 0.8906 0.9270
O3 0.1926 0.5964 0.8455
O4 0.1926 0.9036 0.3455
O5 0.2011 0.5887 0.2606
O6 0.2011 0.9113 0.7606
O7 0.2056 0.0365 0.5904
O8 0.2056 0.4635 0.0904
O9 0.2173 0.1753 0.2305
O10 0.2173 0.3247 0.7305
O11 0.2799 0.2293 0.4107
O12 0.2799 0.2707 0.9107
O13 0.2949 0.6885 0.6276
O14 0.2949 0.8115 0.1276
O15 0.4309 0.6556 0.4043
O16 0.4309 0.8444 0.9043
O17 0.4988 0.5321 0.1869
O18 0.4988 0.9679 0.6869
O19 0.5012 0.0321 0.3131
O20 0.5012 0.4679 0.8131
O21 0.5691 0.1556 0.0957
O22 0.5691 0.3444 0.5957
O23 0.7051 0.1885 0.8724
O24 0.7051 0.3115 0.3724
O25 0.7201 0.7293 0.0893
O26 0.7201 0.7707 0.5893
O27 0.7827 0.6753 0.2695
O28 0.7827 0.8247 0.7695
O29 0.7944 0.5365 0.9096
O30 0.7944 0.9635 0.4096
O31 0.7989 0.0887 0.2394
O32 0.7989 0.4113 0.7394
O33 0.8074 0.0964 0.6545
O34 0.8074 0.4036 0.1545
O35 0.9119 0.1094 0.0730
O36 0.9119 0.3906 0.5730
```